(1)
This entry pairs a crystal structure of LiTi3O6 with its theoretical powder XRD pattern. Radiation: Cu Kα. Structure: the GGA-PBE geometry in Alexandria.
Peak positions follow from Bragg's law for the DFT cell and can differ from measured ones.

Structure:
a = 5.5860 Å, b = 9.3000 Å, c = 16.7207 Å
α = 90.00°, β = 90.00°, γ = 90.00°
Space group Fddd (No. 70, origin choice 2)
Unique sites:
1 Li 0.1250 0.1250 0.1250 x8
2 Ti 0.1250 0.1250 0.2939 x16
3 Ti 0.1250 0.1250 0.6250 x8
4 O 0.1175 0.3392 0.2945 x32
5 O 0.1250 0.3416 0.6250 x16

Main lines, by angle (2θ from 15° to 90°):
h k l  2θ (°)  d_spacing  I/Imax
1 1 3  24.5  3.632  100
1 3 3  36.9  2.438  7
2 2 0  37.6  2.392  8
0 4 0  38.7  2.325  24
2 0 6  46.0  1.973  37
3 1 3  52.8  1.734  20
1 5 3  54.5  1.682  17
2 4 6  61.7  1.504  20
2 6 0  69.4  1.355  5
3 5 3  74.1  1.280  11

(2)
This entry pairs a crystal structure of Li3Ti4O8 with its theoretical powder XRD pattern. Radiation: Cu Kα. Structure: the GGA-PBE geometry in Alexandria.
Peak positions follow from Bragg's law for the DFT cell and can differ from measured ones.

Structure:
a = 5.0940 Å, b = 9.6583 Å, c = 5.7198 Å
α = 90.00°, β = 90.50°, γ = 90.00°
Space group P2_1 (No. 4)
Unique sites:
1 Li 0.0678 0.0000 0.1185 x2
2 Li 0.0735 0.2751 0.6195 x2
3 Li 0.4149 0.5011 0.1260 x2
4 Ti 0.1095 0.2606 0.1324 x2
5 Ti 0.1182 0.0087 0.6210 x2
6 Ti 0.4085 0.7703 0.1342 x2
7 Ti 0.4136 0.5185 0.6291 x2
8 O 0.0504 0.6304 0.6258 x2
9 O 0.0635 0.6473 0.1236 x2
10 O 0.2284 0.3992 0.3775 x2
11 O 0.2346 0.8836 0.8818 x2
12 O 0.2543 0.8925 0.3737 x2
13 O 0.2549 0.3868 0.8799 x2
14 O 0.4288 0.1382 0.1269 x2
15 O 0.4311 0.1335 0.6428 x2

Main lines, by angle (2θ from 15° to 90°):
h k l  2θ (°)  d_spacing  I/Imax
0 2 1  24.1  3.690  100
1 1 -1  25.1  3.553  27
1 1 1  25.3  3.526  34
1 2 1  30.0  2.980  23
2 1 0  36.5  2.462  23
2 2 0  40.0  2.253  22
2 3 0  45.4  1.997  34
1 3 -2  45.9  1.976  30
1 3 2  46.2  1.967  32
2 5 0  60.1  1.539  21